The following is a theoretical powder X-ray diffraction pattern of Tb3Er9Th2. It was derived from a crystal structure in Alexandria, relaxed with GGA-PBE, using copper Kα.
Intensities are scaled so that the largest is 100.

Main lines, in order of rising 2θ (2θ = 10–90°):
31.18 deg, I 65
31.97 deg, I 51
32.20 deg, I 100
32.33 deg, I 44
35.28 deg, I 14
46.15 deg, I 13
46.39 deg, I 13
52.16 deg, I 16
57.12 deg, I 17
62.51 deg, I 16
62.65 deg, I 28
81.02 deg, I 13

Cell and atoms:
Lattice parameters (Å, degrees): 23.203 3.506 11.123 90.00 103.40 90.00
Space group C2/m (No. 12)
Symmetry-distinct sites (fractional):
1 Tb 0.000 0.000 0.000 (multiplicity 2)
2 Tb 0.217 0.000 0.341 (multiplicity 4)
3 Er 0.000 0.000 0.500 (multiplicity 2)
4 Er 0.078 0.500 0.307 (multiplicity 4)
5 Er 0.140 0.500 0.072 (multiplicity 4)
6 Er 0.146 0.000 0.577 (multiplicity 4)
7 Er 0.210 0.000 0.875 (multiplicity 4)
8 Th 0.076 0.500 0.770 (multiplicity 4)

The following is a theoretical powder X-ray diffraction pattern of F. It was derived from a crystal structure in Alexandria, relaxed with GGA-PBE, using copper Kα.
Intensities are scaled so that the largest is 100.

Main lines, in order of rising 2θ (2θ = 10–90°):
11.73 deg, I 15
20.40 deg, I 55
31.38 deg, I 93
31.98 deg, I 95
35.72 deg, I 17
36.25 deg, I 32
38.23 deg, I 100
41.48 deg, I 14
43.71 deg, I 18
48.27 deg, I 16
51.80 deg, I 15
73.50 deg, I 22

Cell and atoms:
Lattice parameters (Å, degrees): 8.7086 8.7086 3.0138 90.00 90.00 120.00
Space group P6_3/m (No. 176)
Symmetry-distinct sites (fractional):
1 F 0.1197 0.6461 0.2500 (multiplicity 6)
2 F 0.1580 0.8256 0.2500 (multiplicity 6)

The following is a theoretical powder X-ray diffraction pattern of PaAuI6. It was derived from a crystal structure in Alexandria, relaxed with GGA-PBE, using copper Kα.
Intensities are scaled so that the largest is 100.

Main lines, in order of rising 2θ (2θ = 10–90°):
11.99 deg, I 100
13.20 deg, I 95
14.27 deg, I 68
24.58 deg, I 69
25.20 deg, I 36
26.28 deg, I 27
27.24 deg, I 75
27.86 deg, I 32
34.94 deg, I 32
35.16 deg, I 27
37.58 deg, I 34
38.85 deg, I 21

Cell and atoms:
Lattice parameters (Å, degrees): 7.482 8.015 8.568 115.43 93.10 116.13
Space group P-1 (No. 2)
Symmetry-distinct sites (fractional):
1 Pa 0.000 0.000 0.000 (multiplicity 1)
2 Au 0.500 0.000 0.000 (multiplicity 1)
3 I 0.041 0.420 0.218 (multiplicity 2)
4 I 0.236 0.159 0.784 (multiplicity 2)
5 I 0.393 0.168 0.289 (multiplicity 2)